The following is a computed powder diffractogram of Pm2PrTm4Th. It was derived from DFT lattice parameters and positions (PBE), using Cu Kα (λ = 1.5418 Å).

Peak list (6 most intense, 2θ = 10–90°, low angle first)
2θ = 30.70°, I = 100.0; 2θ = 35.20°, I = 34.9; 2θ = 36.40°, I = 16.2; 2θ = 51.53°, I = 23.8; 2θ = 60.36°, I = 22.2; 2θ = 61.99°, I = 13.5

Cell: 5.0943 5.1053 9.8740 Å, 90.00 90.05 90.00°
Positions (direct):
Pm1 0.0000 0.0000 0.0000
Pm2 0.5000 0.5000 0.5000
Pr1 0.0000 0.0000 0.5000
Tm1 0.0001 0.5000 0.2451
Tm2 0.9999 0.5000 0.7549
Tm3 0.5004 0.0000 0.2448
Tm4 0.4996 0.0000 0.7552
Th1 0.5000 0.5000 0.0000



The following is a computed powder diffractogram of CeHo12Sc7. It was derived from DFT lattice parameters and positions (PBE), using Cu Kα (λ = 1.5418 Å).

Peak list (6 most intense, 2θ = 10–90°, low angle first)
2θ = 26.38°, I = 38.9; 2θ = 27.17°, I = 41.3; 2θ = 30.53°, I = 84.9; 2θ = 31.69°, I = 36.6; 2θ = 32.37°, I = 100.0; 2θ = 32.59°, I = 61.9

Cell: 8.9827 8.9827 8.9827 Å, 108.04 108.04 108.04°
Positions (direct):
Ce1 0.0000 0.0000 0.0000
Ho1 0.0567 0.8488 0.3203
Ho2 0.1512 0.6797 0.9433
Ho3 0.1872 0.6297 0.5140
Ho4 0.3203 0.0567 0.8488
Ho5 0.3703 0.4860 0.8128
Ho6 0.4860 0.8128 0.3703
Ho7 0.5140 0.1872 0.6297
Ho8 0.6297 0.5140 0.1872
Ho9 0.6797 0.9433 0.1512
Ho10 0.8128 0.3703 0.4860
Ho11 0.8488 0.3203 0.0567
Ho12 0.9433 0.1512 0.6797
Sc1 0.1187 0.2368 0.3993
Sc2 0.2368 0.3993 0.1187
Sc3 0.3993 0.1187 0.2368
Sc4 0.5000 0.5000 0.5000
Sc5 0.6007 0.8813 0.7632
Sc6 0.7632 0.6007 0.8813
Sc7 0.8813 0.7632 0.6007



Copy entry 2 word for word.
The following is a computed powder diffractogram of CeHo12Sc7. It was derived from DFT lattice parameters and positions (PBE), using Cu Kα (λ = 1.5418 Å).

Peak list (6 most intense, 2θ = 10–90°, low angle first)
2θ = 26.38°, I = 38.9; 2θ = 27.17°, I = 41.3; 2θ = 30.53°, I = 84.9; 2θ = 31.69°, I = 36.6; 2θ = 32.37°, I = 100.0; 2θ = 32.59°, I = 61.9

Cell: 8.9827 8.9827 8.9827 Å, 108.04 108.04 108.04°
Positions (direct):
Ce1 0.0000 0.0000 0.0000
Ho1 0.0567 0.8488 0.3203
Ho2 0.1512 0.6797 0.9433
Ho3 0.1872 0.6297 0.5140
Ho4 0.3203 0.0567 0.8488
Ho5 0.3703 0.4860 0.8128
Ho6 0.4860 0.8128 0.3703
Ho7 0.5140 0.1872 0.6297
Ho8 0.6297 0.5140 0.1872
Ho9 0.6797 0.9433 0.1512
Ho10 0.8128 0.3703 0.4860
Ho11 0.8488 0.3203 0.0567
Ho12 0.9433 0.1512 0.6797
Sc1 0.1187 0.2368 0.3993
Sc2 0.2368 0.3993 0.1187
Sc3 0.3993 0.1187 0.2368
Sc4 0.5000 0.5000 0.5000
Sc5 0.6007 0.8813 0.7632
Sc6 0.7632 0.6007 0.8813
Sc7 0.8813 0.7632 0.6007